No. 1
This entry pairs a crystal structure of Li3Co3SbO8 with its computed powder XRD pattern. Radiation: λ = 1.5418 Å (Cu Kα). Structure: a DFT-relaxed cell (PBE+U, the Materials Project).
Kinematic intensities with the Lorentz-polarization factor, no thermal factor.

Principal peaks in the range 10 to 80 degrees two-theta, by angle:
| two_theta | d/Å | I_rel |
| --- | --- | --- |
| 17.8 | 4.974 | 100.0 |
| 18.1 | 4.910 | 8.7 |
| 34.2 | 2.621 | 16.5 |
| 35.0 | 2.562 | 14.6 |
| 35.3 | 2.541 | 13.9 |
| 36.1 | 2.488 | 12.3 |
| 41.4 | 2.180 | 21.0 |
| 42.4 | 2.131 | 19.4 |
| 42.8 | 2.111 | 18.6 |
| 46.2 | 1.966 | 15.3 |
| 60.7 | 1.526 | 5.8 |
| 61.2 | 1.515 | 11.0 |

Structural model:
Cell: 6.088 6.108 8.447 Å, 90.69 90.86 91.29°
Element x y z (fractional)
Li (0.000, 0.000, 0.000)
Li (0.000, 0.500, 0.000)
Li (0.249, 0.249, 0.246)
Li (0.500, 0.000, 0.500)
Li (0.500, 0.500, 0.500)
Li (0.751, 0.751, 0.754)
Co (0.000, 0.000, 0.500)
Co (0.000, 0.500, 0.500)
Co (0.244, 0.258, 0.757)
Co (0.500, 0.000, 0.000)
Co (0.500, 0.500, 0.000)
Co (0.756, 0.742, 0.243)
Sb (0.251, 0.752, 0.751)
Sb (0.749, 0.248, 0.249)
O (0.019, 0.983, 0.746)
O (0.021, 0.514, 0.753)
O (0.228, 0.234, 0.521)
O (0.243, 0.760, 0.516)
O (0.257, 0.247, 0.979)
O (0.275, 0.765, 0.988)
O (0.475, 0.517, 0.749)
O (0.486, 0.991, 0.770)
O (0.514, 0.009, 0.230)
O (0.525, 0.483, 0.251)
O (0.725, 0.235, 0.012)
O (0.743, 0.753, 0.021)
O (0.757, 0.240, 0.484)
O (0.772, 0.766, 0.479)
O (0.979, 0.486, 0.247)
O (0.981, 0.017, 0.254)



No. 2
This entry pairs a crystal structure of LiCrP3O9 with its computed powder XRD pattern. Radiation: λ = 1.5418 Å (Cu Kα). Structure: a DFT-relaxed cell (PBE+U, the Materials Project).
Kinematic intensities with the Lorentz-polarization factor, no thermal factor.

Principal peaks in the range 10 to 80 degrees two-theta, by angle:
| two_theta | d/Å | I_rel |
| --- | --- | --- |
| 15.2 | 5.835 | 39.8 |
| 17.3 | 5.125 | 82.9 |
| 17.7 | 4.999 | 76.8 |
| 18.0 | 4.917 | 31.6 |
| 19.6 | 4.531 | 65.7 |
| 22.1 | 4.015 | 48.8 |
| 24.3 | 3.657 | 100.0 |
| 29.3 | 3.050 | 63.5 |
| 29.8 | 3.003 | 35.4 |
| 30.6 | 2.917 | 51.6 |
| 30.7 | 2.908 | 70.0 |
| 33.6 | 2.670 | 51.8 |

Structural model:
Cell: 5.532 10.725 11.669 Å, 90.00 90.00 90.00°
Element x y z (fractional)
Li (0.084, 0.117, 0.077)
Li (0.416, 0.883, 0.577)
Li (0.584, 0.383, 0.923)
Li (0.916, 0.617, 0.423)
Cr (0.089, 0.469, 0.141)
Cr (0.411, 0.531, 0.641)
Cr (0.589, 0.031, 0.859)
Cr (0.911, 0.969, 0.359)
P (0.065, 0.198, 0.821)
P (0.122, 0.575, 0.877)
P (0.126, 0.850, 0.866)
P (0.374, 0.150, 0.366)
P (0.378, 0.425, 0.377)
P (0.435, 0.802, 0.321)
P (0.565, 0.302, 0.179)
P (0.622, 0.925, 0.123)
P (0.626, 0.650, 0.134)
P (0.874, 0.350, 0.634)
P (0.878, 0.075, 0.623)
P (0.935, 0.698, 0.679)
O (0.000, 0.441, 0.559)
O (0.000, 0.941, 0.941)
O (0.014, 0.491, 0.966)
O (0.052, 0.322, 0.743)
O (0.083, 0.092, 0.721)
O (0.126, 0.120, 0.318)
O (0.140, 0.714, 0.928)
O (0.145, 0.465, 0.320)
O (0.174, 0.684, 0.617)
O (0.206, 0.801, 0.388)
O (0.294, 0.199, 0.888)
O (0.326, 0.316, 0.117)
O (0.355, 0.535, 0.820)
O (0.360, 0.286, 0.428)
O (0.374, 0.880, 0.818)
O (0.417, 0.908, 0.221)
O (0.448, 0.678, 0.243)
O (0.486, 0.509, 0.466)
O (0.500, 0.059, 0.441)
O (0.500, 0.559, 0.059)
O (0.514, 0.009, 0.034)
O (0.552, 0.178, 0.257)
O (0.583, 0.408, 0.279)
O (0.626, 0.380, 0.682)
O (0.640, 0.786, 0.072)
O (0.645, 0.035, 0.680)
O (0.674, 0.816, 0.383)
O (0.706, 0.699, 0.612)
O (0.794, 0.301, 0.112)
O (0.826, 0.184, 0.883)
O (0.855, 0.965, 0.180)
O (0.860, 0.214, 0.572)
O (0.874, 0.620, 0.182)
O (0.917, 0.592, 0.779)
O (0.948, 0.822, 0.757)
O (0.986, 0.991, 0.534)



No. 3
This entry pairs a crystal structure of LiFe3SiPO8 with its computed powder XRD pattern. Radiation: λ = 1.5418 Å (Cu Kα). Structure: a DFT-relaxed cell (PBE+U, the Materials Project).
Kinematic intensities with the Lorentz-polarization factor, no thermal factor.

Principal peaks in the range 10 to 80 degrees two-theta, by angle:
| two_theta | d/Å | I_rel |
| --- | --- | --- |
| 16.3 | 5.432 | 47.1 |
| 18.8 | 4.711 | 59.3 |
| 21.3 | 4.165 | 51.6 |
| 24.7 | 3.601 | 38.3 |
| 24.9 | 3.583 | 91.4 |
| 27.1 | 3.291 | 100.0 |
| 29.1 | 3.071 | 81.1 |
| 34.6 | 2.592 | 95.8 |
| 35.9 | 2.501 | 38.4 |
| 36.7 | 2.446 | 86.0 |
| 37.8 | 2.381 | 46.5 |
| 42.4 | 2.130 | 39.2 |

Structural model:
Cell: 5.564 7.166 9.839 Å, 90.00 122.15 90.00°
Element x y z (fractional)
Li (0.000, 0.195, 0.000)
Li (0.000, 0.805, 0.500)
Fe (0.384, 0.437, 0.622)
Fe (0.384, 0.563, 0.122)
Fe (0.654, 0.346, 0.431)
Fe (0.654, 0.654, 0.931)
Fe (0.692, 0.051, 0.188)
Fe (0.692, 0.949, 0.688)
Si (0.956, 0.488, 0.229)
Si (0.956, 0.512, 0.729)
P (0.315, 0.054, 0.817)
P (0.315, 0.946, 0.317)
O (0.060, 0.072, 0.201)
O (0.060, 0.928, 0.701)
O (0.273, 0.451, 0.389)
O (0.273, 0.549, 0.889)
O (0.308, 0.091, 0.971)
O (0.308, 0.909, 0.471)
O (0.326, 0.225, 0.730)
O (0.326, 0.775, 0.230)
O (0.599, 0.058, 0.370)
O (0.599, 0.942, 0.870)
O (0.716, 0.350, 0.235)
O (0.716, 0.650, 0.735)
O (0.789, 0.307, 0.692)
O (0.789, 0.693, 0.192)
O (0.972, 0.452, 0.066)
O (0.972, 0.548, 0.566)



No. 4
This entry pairs a crystal structure of MgMn2O4 with its computed powder XRD pattern. Radiation: λ = 1.5418 Å (Cu Kα). Structure: a DFT-relaxed cell (PBE+U, the Materials Project).
Kinematic intensities with the Lorentz-polarization factor, no thermal factor.

Principal peaks in the range 10 to 80 degrees two-theta, by angle:
| two_theta | d/Å | I_rel |
| --- | --- | --- |
| 17.9 | 4.948 | 100.0 |
| 28.8 | 3.100 | 10.8 |
| 32.3 | 2.771 | 67.7 |
| 35.9 | 2.504 | 84.1 |
| 36.3 | 2.474 | 18.6 |
| 38.1 | 2.365 | 41.2 |
| 44.1 | 2.052 | 49.0 |
| 50.8 | 1.799 | 20.0 |
| 58.1 | 1.587 | 28.8 |
| 59.6 | 1.550 | 63.6 |
| 64.2 | 1.451 | 24.1 |
| 77.1 | 1.237 | 13.1 |

Structural model:
Cell: 6.264 6.261 5.805 Å, 62.42 62.35 55.23°
Element x y z (fractional)
Mg (0.125, 0.125, 0.125)
Mg (0.875, 0.875, 0.875)
Mn (0.000, 0.500, 0.500)
Mn (0.500, 0.000, 0.500)
Mn (0.500, 0.500, 0.000)
Mn (0.500, 0.500, 0.500)
O (0.254, 0.254, 0.270)
O (0.254, 0.254, 0.723)
O (0.270, 0.723, 0.254)
O (0.277, 0.730, 0.746)
O (0.723, 0.270, 0.254)
O (0.730, 0.277, 0.746)
O (0.746, 0.746, 0.277)
O (0.746, 0.746, 0.730)



No. 5
This entry pairs a crystal structure of Li7FeP4O14F with its computed powder XRD pattern. Radiation: λ = 1.5418 Å (Cu Kα). Structure: a DFT-relaxed cell (PBE+U, the Materials Project).
Kinematic intensities with the Lorentz-polarization factor, no thermal factor.

Principal peaks in the range 10 to 80 degrees two-theta, by angle:
| two_theta | d/Å | I_rel |
| --- | --- | --- |
| 12.2 | 7.249 | 63.0 |
| 14.2 | 6.226 | 100.0 |
| 19.6 | 4.541 | 38.7 |
| 22.9 | 3.892 | 29.1 |
| 24.6 | 3.624 | 30.5 |
| 27.4 | 3.252 | 18.8 |
| 28.7 | 3.112 | 20.8 |
| 28.8 | 3.097 | 17.4 |
| 30.7 | 2.916 | 40.5 |
| 32.2 | 2.778 | 58.4 |
| 33.5 | 2.676 | 19.9 |
| 37.2 | 2.417 | 21.8 |

Structural model:
Cell: 6.371 6.371 14.622 Å, 95.78 95.78 78.71°
Element x y z (fractional)
Li (0.073, 0.635, 0.334)
Li (0.073, 0.927, 0.500)
Li (0.180, 0.720, 0.847)
Li (0.426, 0.964, 0.987)
Li (0.552, 0.703, 0.328)
Li (0.587, 0.997, 0.499)
Li (0.635, 0.073, 0.834)
Li (0.703, 0.552, 0.828)
Li (0.720, 0.180, 0.347)
Li (0.729, 0.905, 0.163)
Li (0.905, 0.729, 0.663)
Li (0.927, 0.073, 0.000)
Li (0.964, 0.426, 0.487)
Li (0.997, 0.587, 0.999)
Fe (0.320, 0.322, 0.665)
Fe (0.322, 0.320, 0.165)
P (0.127, 0.220, 0.839)
P (0.216, 0.850, 0.166)
P (0.220, 0.127, 0.339)
P (0.438, 0.791, 0.665)
P (0.460, 0.511, 0.491)
P (0.511, 0.460, 0.991)
P (0.791, 0.438, 0.165)
P (0.850, 0.216, 0.666)
O (0.018, 0.456, 0.861)
O (0.023, 0.838, 0.095)
O (0.058, 0.141, 0.411)
O (0.107, 0.982, 0.256)
O (0.141, 0.058, 0.911)
O (0.215, 0.341, 0.299)
O (0.267, 0.683, 0.700)
O (0.302, 0.393, 0.527)
O (0.324, 0.639, 0.206)
O (0.338, 0.991, 0.614)
O (0.341, 0.215, 0.799)
O (0.349, 0.680, 0.426)
O (0.364, 0.658, 0.955)
O (0.381, 0.973, 0.137)
O (0.393, 0.302, 0.027)
O (0.456, 0.018, 0.361)
O (0.563, 0.639, 0.583)
O (0.627, 0.808, 0.738)
O (0.639, 0.324, 0.706)
O (0.639, 0.563, 0.083)
O (0.658, 0.364, 0.455)
O (0.680, 0.349, 0.926)
O (0.683, 0.267, 0.200)
O (0.808, 0.627, 0.238)
O (0.838, 0.023, 0.595)
O (0.973, 0.381, 0.637)
O (0.982, 0.107, 0.756)
O (0.991, 0.338, 0.114)
F (0.724, 0.891, 0.938)
F (0.891, 0.724, 0.438)



No. 6
This entry pairs a crystal structure of LiCrSiO4 with its computed powder XRD pattern. Radiation: λ = 1.5418 Å (Cu Kα). Structure: a DFT-relaxed cell (PBE+U, the Materials Project).
Kinematic intensities with the Lorentz-polarization factor, no thermal factor.

Principal peaks in the range 10 to 80 degrees two-theta, by angle:
| two_theta | d/Å | I_rel |
| --- | --- | --- |
| 18.8 | 4.713 | 25.9 |
| 19.4 | 4.570 | 52.6 |
| 22.3 | 3.984 | 34.8 |
| 31.6 | 2.835 | 22.9 |
| 32.1 | 2.789 | 40.1 |
| 36.5 | 2.462 | 100.0 |
| 37.5 | 2.398 | 64.1 |
| 44.9 | 2.018 | 41.6 |
| 45.5 | 1.992 | 20.2 |
| 50.7 | 1.800 | 18.0 |
| 60.1 | 1.539 | 19.2 |
| 65.9 | 1.418 | 55.5 |

Structural model:
Cell: 5.674 5.674 5.674 Å, 121.11 117.99 90.81°
Element x y z (fractional)
Li (0.500, 0.000, 0.000)
Li (0.500, 0.500, 0.500)
Cr (0.000, 0.000, 0.000)
Cr (0.500, 0.000, 0.500)
Si (0.115, 0.365, 0.750)
Si (0.885, 0.635, 0.250)
O (0.234, 0.749, 0.485)
O (0.236, 0.251, 0.985)
O (0.242, 0.248, 0.506)
O (0.242, 0.737, 0.994)
O (0.758, 0.263, 0.006)
O (0.758, 0.752, 0.494)
O (0.764, 0.749, 0.015)
O (0.766, 0.251, 0.515)



No. 7
This entry pairs a crystal structure of LaFeO3 with its computed powder XRD pattern. Radiation: λ = 1.5418 Å (Cu Kα). Structure: a DFT-relaxed cell (PBE+U, the Materials Project).
Kinematic intensities with the Lorentz-polarization factor, no thermal factor.

Principal peaks in the range 10 to 80 degrees two-theta, by angle:
| two_theta | d/Å | I_rel |
| --- | --- | --- |
| 22.5 | 3.957 | 12.9 |
| 32.0 | 2.798 | 100.0 |
| 39.4 | 2.285 | 18.7 |
| 45.9 | 1.979 | 32.9 |
| 51.6 | 1.770 | 6.9 |
| 57.0 | 1.616 | 38.4 |
| 66.9 | 1.399 | 19.3 |
| 71.5 | 1.319 | 3.7 |
| 76.1 | 1.251 | 16.3 |

Structural model:
Cell: 3.957 3.957 3.957 Å, 90.00 90.00 90.00°
Element x y z (fractional)
La (0.000, 0.000, 0.000)
Fe (0.500, 0.500, 0.500)
O (0.000, 0.500, 0.500)
O (0.500, 0.000, 0.500)
O (0.500, 0.500, 0.000)